# 1
Computed PXRD pattern of NaSr2Ca3 for copper Kα, from a DFT-relaxed cell (PBE, Alexandria).
Neutral-atom scattering factors, no anomalous dispersion.

Largest 10 diffraction maxima, in order of rising 2θ, 10° ≤ 2θ ≤ 90°:
- 2θ 22.16, rel. 77
- 2θ 27.07, rel. 104
- 2θ 27.86, rel. 500
- 2θ 28.22, rel. 1000
- 2θ 39.81, rel. 172
- 2θ 40.87, rel. 92
- 2θ 49.50, rel. 345
- 2θ 50.18, rel. 183
- 2θ 58.37, rel. 108
- 2θ 80.68, rel. 77

Crystal structure
a = 10.1169 Å, b = 10.1169 Å, c = 4.4165 Å
α = 90.00°, β = 90.00°, γ = 143.04°
Fractional positions:
Na1 0.0000 0.0000 0.0000
Sr1 0.3253 0.6747 0.0000
Sr2 0.6747 0.3253 0.0000
Ca1 0.1507 0.8493 0.5000
Ca2 0.5000 0.5000 0.5000
Ca3 0.8493 0.1507 0.5000

=====

# 2
Computed PXRD pattern of NaSrCa6 for copper Kα, from a DFT-relaxed cell (PBE, Alexandria).
Neutral-atom scattering factors, no anomalous dispersion.

Largest 10 diffraction maxima, in order of rising 2θ, 10° ≤ 2θ ≤ 90°:
- 2θ 12.61, rel. 245
- 2θ 25.38, rel. 495
- 2θ 28.42, rel. 1000
- 2θ 28.49, rel. 245
- 2θ 31.17, rel. 580
- 2θ 31.26, rel. 568
- 2θ 48.42, rel. 209
- 2θ 48.56, rel. 260
- 2θ 48.64, rel. 156
- 2θ 52.13, rel. 211

Crystal structure
a = 7.0175 Å, b = 7.0187 Å, c = 7.0188 Å
α = 89.72°, β = 89.80°, γ = 89.95°
Fractional positions:
Na1 0.0000 0.0000 0.0000
Sr1 0.5000 0.5000 0.5000
Ca1 0.0003 0.4993 0.2483
Ca2 0.9997 0.5007 0.7517
Ca3 0.2482 0.0004 0.5001
Ca4 0.5003 0.2483 0.0008
Ca5 0.4997 0.7517 0.9992
Ca6 0.7518 0.9996 0.4999

=====

# 3
Computed PXRD pattern of NaSr2CaZn for copper Kα, from a DFT-relaxed cell (PBE, Alexandria).
Neutral-atom scattering factors, no anomalous dispersion.

Largest 10 diffraction maxima, in order of rising 2θ, 10° ≤ 2θ ≤ 90°:
- 2θ 14.33, rel. 444
- 2θ 14.95, rel. 771
- 2θ 25.32, rel. 839
- 2θ 28.90, rel. 1000
- 2θ 30.16, rel. 447
- 2θ 32.69, rel. 475
- 2θ 41.32, rel. 371
- 2θ 42.26, rel. 695
- 2θ 49.09, rel. 262
- 2θ 52.00, rel. 370

Crystal structure
a = 6.1796 Å, b = 6.1796 Å, c = 5.9259 Å
α = 90.00°, β = 90.00°, γ = 90.00°
Fractional positions:
Na1 0.0000 0.0000 0.0000
Sr1 0.0000 0.5000 0.5000
Sr2 0.5000 0.0000 0.5000
Ca1 0.5000 0.5000 0.0000
Zn1 0.5000 0.5000 0.5000